Diffraction record for LuFe6Sn2Ge4. The X-ray powder pattern is calculated, not measured: it uses a crystal structure in OQMD, relaxed with PBE and a wavelength of 1.5418 Å.
Peak positions follow from Bragg's law for the DFT cell and can differ from measured ones.

Structural model:
Cell: 5.2308 5.2308 8.3745 Å, 90.00 90.00 120.00°
Space group P6/mmm (No. 191)
Inequivalent atoms, fractional coordinates:
Lu (0.0000, 0.0000, 0.0000)
Fe (0.0000, 0.5000, 0.2635)
Sn (0.3333, 0.6667, 0.0000)
Ge (0.0000, 0.0000, 0.3465)
Ge (0.3333, 0.6667, 0.5000)

Top 10 peaks for 5 to 70 degrees two-theta, in order of rising 2θ:
hkl 0 0 1, 10.56 deg, intensity 21; hkl 0 0 3, 32.06 deg, intensity 20; hkl 1 1 0, 34.29 deg, intensity 72; hkl 1 0 3, 37.86 deg, intensity 18; hkl 2 0 0, 39.80 deg, intensity 31; hkl 1 1 2, 40.67 deg, intensity 100; hkl 0 0 4, 43.21 deg, intensity 22; hkl 2 0 2, 45.53 deg, intensity 32; hkl 1 1 3, 47.65 deg, intensity 24; hkl 3 0 2, 65.74 deg, intensity 24

Diffraction record for LuFe6Sn2Ge4. The X-ray powder pattern is calculated, not measured: it uses a crystal structure in OQMD, relaxed with PBE and a wavelength of 1.5418 Å.
Peak positions follow from Bragg's law for the DFT cell and can differ from measured ones.

Structural model:
Cell: 5.1921 5.1921 8.4108 Å, 90.00 90.00 120.00°
Space group P6/mmm (No. 191)
Inequivalent atoms, fractional coordinates:
Lu (0.0000, 0.0000, 0.0000)
Fe (0.0000, 0.5000, 0.2430)
Sn (0.0000, 0.0000, 0.3392)
Ge (0.3333, 0.6667, 0.0000)
Ge (0.3333, 0.6667, 0.5000)

Top 10 peaks for 5 to 70 degrees two-theta, in order of rising 2θ:
hkl 1 0 0, 19.74 deg, intensity 22; hkl 1 1 0, 34.55 deg, intensity 100; hkl 1 0 3, 37.82 deg, intensity 81; hkl 2 0 0, 40.11 deg, intensity 71; hkl 1 1 2, 40.85 deg, intensity 82; hkl 0 0 4, 43.02 deg, intensity 22; hkl 2 0 2, 45.76 deg, intensity 47; hkl 1 1 3, 47.75 deg, intensity 55; hkl 2 0 3, 52.15 deg, intensity 24; hkl 2 1 3, 64.07 deg, intensity 35

Diffraction record for LuFe6Sn4Ge2. The X-ray powder pattern is calculated, not measured: it uses a crystal structure in OQMD, relaxed with PBE and a wavelength of 1.5418 Å.
Peak positions follow from Bragg's law for the DFT cell and can differ from measured ones.

Structural model:
Cell: 5.3333 5.3333 8.6191 Å, 90.00 90.00 120.00°
Space group P6/mmm (No. 191)
Inequivalent atoms, fractional coordinates:
Lu (0.0000, 0.0000, 0.0000)
Fe (0.0000, 0.5000, 0.2594)
Sn (0.0000, 0.0000, 0.3400)
Sn (0.3333, 0.6667, 0.0000)
Ge (0.3333, 0.6667, 0.5000)

Top 10 peaks for 5 to 70 degrees two-theta, in order of rising 2θ:
hkl 0 0 3, 31.13 deg, intensity 28; hkl 1 1 0, 33.61 deg, intensity 100; hkl 1 0 3, 36.84 deg, intensity 39; hkl 2 0 0, 39.00 deg, intensity 46; hkl 1 1 2, 39.75 deg, intensity 89; hkl 0 0 4, 41.93 deg, intensity 21; hkl 2 0 2, 44.51 deg, intensity 43; hkl 1 1 3, 46.47 deg, intensity 56; hkl 2 0 3, 50.72 deg, intensity 24; hkl 3 0 3, 69.25 deg, intensity 22

Diffraction record for MgFe2Ge. The X-ray powder pattern is calculated, not measured: it uses a crystal structure in OQMD, relaxed with PBE and a wavelength of 1.5418 Å.
Peak positions follow from Bragg's law for the DFT cell and can differ from measured ones.

Structural model:
Cell: 5.907 5.907 5.907 Å, 90.00 90.00 90.00°
Space group Pm-3m (No. 221)
Inequivalent atoms, fractional coordinates:
Mg (0.000, 0.000, 0.000)
Mg (0.000, 0.000, 0.500)
Fe (0.268, 0.268, 0.268)
Ge (0.000, 0.500, 0.500)
Ge (0.500, 0.500, 0.500)

Top 10 peaks for 5 to 70 degrees two-theta, in order of rising 2θ:
hkl 1 0 0, 15.00 deg, intensity 23; hkl 1 1 1, 26.13 deg, intensity 3; hkl 2 0 0, 30.26 deg, intensity 1; hkl 2 1 0, 33.94 deg, intensity 1; hkl 2 2 0, 43.33 deg, intensity 100; hkl 2 2 1, 46.10 deg, intensity 5; hkl 3 1 1, 51.30 deg, intensity 2; hkl 3 2 0, 56.15 deg, intensity 8; hkl 4 0 0, 62.94 deg, intensity 15; hkl 4 1 0, 65.12 deg, intensity 2

Diffraction record for FeGeN2. The X-ray powder pattern is calculated, not measured: it uses a crystal structure in OQMD, relaxed with PBE and a wavelength of 1.5418 Å.
Peak positions follow from Bragg's law for the DFT cell and can differ from measured ones.

Structural model:
Cell: 5.337 6.523 5.285 Å, 90.00 90.00 90.00°
Space group Pna2_1 (No. 33)
Inequivalent atoms, fractional coordinates:
Fe (0.073, 0.143, 0.000)
Ge (0.080, 0.624, 0.987)
N (0.070, 0.606, 0.341)
N (0.085, 0.137, 0.385)

Top 10 peaks for 5 to 70 degrees two-theta, in order of rising 2θ:
hkl 1 2 0, 32.16 deg, intensity 37; hkl 2 0 0, 33.58 deg, intensity 25; hkl 0 0 2, 33.92 deg, intensity 52; hkl 1 2 1, 36.49 deg, intensity 100; hkl 2 0 1, 37.76 deg, intensity 40; hkl 1 2 2, 47.44 deg, intensity 17; hkl 0 4 0, 56.42 deg, intensity 15; hkl 3 2 0, 59.15 deg, intensity 25; hkl 1 2 3, 62.39 deg, intensity 31; hkl 3 2 2, 69.95 deg, intensity 34

Diffraction record for Sc2Fe2SiGeN. The X-ray powder pattern is calculated, not measured: it uses a crystal structure in OQMD, relaxed with PBE and a wavelength of 1.5418 Å.
Peak positions follow from Bragg's law for the DFT cell and can differ from measured ones.

Structural model:
Cell: 10.203 3.692 6.450 Å, 90.00 126.90 90.00°
Space group Cm (No. 8)
Inequivalent atoms, fractional coordinates:
Sc (0.000, 0.000, 0.000)
Sc (0.117, 0.000, 0.564)
Fe (0.262, 0.500, 0.383)
Fe (0.363, 0.000, 0.202)
Si (0.404, 0.000, 0.594)
Ge (0.208, 0.500, 0.964)
N (0.061, 0.500, 0.285)

Top 10 peaks for 5 to 70 degrees two-theta, in order of rising 2θ:
hkl 0 0 1, 17.19 deg, intensity 26; hkl 2 0 -1, 17.87 deg, intensity 24; hkl 1 1 1, 35.29 deg, intensity 25; hkl 3 1 -1, 35.99 deg, intensity 56; hkl 4 0 -1, 36.36 deg, intensity 25; hkl 1 1 -2, 38.37 deg, intensity 100; hkl 3 1 0, 41.23 deg, intensity 66; hkl 4 0 -3, 44.01 deg, intensity 39; hkl 0 2 0, 49.37 deg, intensity 39; hkl 4 2 -3, 68.26 deg, intensity 22